The following is a computed powder XRD pattern of Ba2Sm2Ti2Cu2O11. It was derived from a PBE-relaxed structure, using Cu Kα X-rays.
No peak broadening, texture or thermal motion is included.

Structure:
a = 3.922 Å, b = 3.922 Å, c = 16.129 Å
α = 90.00°, β = 90.00°, γ = 90.00°
Sites, in units of the cell vectors:
Ba 0.000 0.000 0.234
Ba 0.000 0.000 0.766
Sm 0.000 0.000 0.000
Sm 0.000 0.000 0.500
Ti 0.500 0.500 0.377
Ti 0.500 0.500 0.623
Cu 0.500 0.500 0.104
Cu 0.500 0.500 0.896
O 0.000 0.500 0.093
O 0.000 0.500 0.391
O 0.000 0.500 0.609
O 0.000 0.500 0.907
O 0.500 0.000 0.093
O 0.500 0.000 0.391
O 0.500 0.000 0.609
O 0.500 0.000 0.907
O 0.500 0.500 0.261
O 0.500 0.500 0.500
O 0.500 0.500 0.739

The 8 most intense peaks (10° ≤ 2θ ≤ 90°), most intense first:
- 31.8 deg, rel. 100, (1 0 4)
- 32.3 deg, rel. 49, (1 1 0)
- 57.3 deg, rel. 37, (2 1 4)
- 46.3 deg, rel. 32, (2 0 0)
- 39.4 deg, rel. 26, (1 1 4)
- 22.7 deg, rel. 17, (1 0 0)
- 56.4 deg, rel. 17, (1 1 8)
- 66.5 deg, rel. 12, (2 0 8)